[1]
Ti10Ga3Sb3: theoretical powder diffraction line list (Cu Kα), based on a GGA-PBE-relaxed structure.
Lines closer than 0.1° are merged.

Most intense lines, 2θ from 10° to 90°, by angle:
- 13.03 deg, I = 21
- 28.25 deg, I = 40
- 33.62 deg, I = 30
- 38.93 deg, I = 100
- 39.81 deg, I = 48
- 40.93 deg, I = 67
- 51.43 deg, I = 33
- 63.68 deg, I = 22

Structural model:
a b c (Å): 7.8448 7.8448 5.3315
angles (deg): 90.00 90.00 120.00
Sites, in units of the cell vectors:
Ti: 0.0000 0.2505 0.0000
Ti: 0.0000 0.7613 0.5000
Ti: 0.2387 0.2387 0.5000
Ti: 0.2505 0.0000 0.0000
Ti: 0.3333 0.6667 0.2395
Ti: 0.3333 0.6667 0.7605
Ti: 0.6667 0.3333 0.2395
Ti: 0.6667 0.3333 0.7605
Ti: 0.7495 0.7495 0.0000
Ti: 0.7613 0.0000 0.5000
Ga: 0.0000 0.6137 0.0000
Ga: 0.3863 0.3863 0.0000
Ga: 0.6137 0.0000 0.0000
Sb: 0.0000 0.3976 0.5000
Sb: 0.3976 0.0000 0.5000
Sb: 0.6024 0.6024 0.5000



[2]
LiTa4NbN8: theoretical powder diffraction line list (Cu Kα), based on a GGA-PBE-relaxed structure.
Lines closer than 0.1° are merged.

Most intense lines, 2θ from 10° to 90°, by angle:
- 17.40 deg, I = 42
- 20.11 deg, I = 24
- 33.66 deg, I = 100
- 35.21 deg, I = 42
- 40.88 deg, I = 21
- 53.96 deg, I = 40
- 59.19 deg, I = 37
- 84.23 deg, I = 22

Structural model:
a b c (Å): 6.2421 6.2421 6.2421
angles (deg): 60.03 60.03 60.03
Sites, in units of the cell vectors:
Li: 0.0000 0.0000 0.0000
Ta: 0.3699 0.3699 0.8908
Ta: 0.3699 0.8908 0.3699
Ta: 0.7500 0.7500 0.7500
Ta: 0.8908 0.3699 0.3699
Nb: 0.3689 0.3689 0.3689
N: 0.1348 0.1348 0.5892
N: 0.1348 0.5892 0.1348
N: 0.1374 0.1374 0.1374
N: 0.1389 0.6231 0.6231
N: 0.5892 0.1348 0.1348
N: 0.6185 0.6185 0.6185
N: 0.6231 0.1389 0.6231
N: 0.6231 0.6231 0.1389



[3]
CsCeMoN3: theoretical powder diffraction line list (Cu Kα), based on a GGA-PBE-relaxed structure.
Lines closer than 0.1° are merged.

Most intense lines, 2θ from 10° to 90°, by angle:
- 10.91 deg, I = 40
- 27.82 deg, I = 93
- 29.73 deg, I = 100
- 31.75 deg, I = 80
- 36.38 deg, I = 32
- 40.21 deg, I = 23
- 48.06 deg, I = 29
- 56.43 deg, I = 26

Structural model:
a b c (Å): 7.9339 7.9339 8.4361
angles (deg): 105.48 105.48 27.62
Sites, in units of the cell vectors:
Cs: 0.1431 0.1431 0.0722
Cs: 0.8569 0.8569 0.9278
Ce: 0.1641 0.1641 0.5429
Ce: 0.8359 0.8359 0.4571
Mo: 0.4844 0.4844 0.3313
Mo: 0.5156 0.5156 0.6687
N: 0.0180 0.0180 0.3193
N: 0.3139 0.3139 0.5929
N: 0.3635 0.3635 0.2583
N: 0.6365 0.6365 0.7417
N: 0.6861 0.6861 0.4071
N: 0.9820 0.9820 0.6807



[4]
PrNd3Os: theoretical powder diffraction line list (Cu Kα), based on a GGA-PBE-relaxed structure.
Lines closer than 0.1° are merged.

Most intense lines, 2θ from 10° to 90°, by angle:
- 17.65 deg, I = 22
- 22.14 deg, I = 29
- 29.62 deg, I = 100
- 30.09 deg, I = 45
- 38.27 deg, I = 43
- 38.65 deg, I = 23
- 46.83 deg, I = 32
- 49.86 deg, I = 24

Structural model:
a b c (Å): 7.9156 6.6770 6.5047
angles (deg): 90.00 90.00 90.00
Sites, in units of the cell vectors:
Pr: 0.0000 0.1594 0.0000
Pr: 0.5000 0.8406 0.5000
Nd: 0.0000 0.8381 0.4929
Nd: 0.2498 0.3216 0.4963
Nd: 0.2502 0.6784 0.9963
Nd: 0.5000 0.1619 0.9929
Nd: 0.7502 0.3216 0.4963
Nd: 0.7498 0.6784 0.9963
Os: 0.0000 0.5007 0.7459
Os: 0.5000 0.4993 0.2459